Diffraction record for CaAu. The powder diffraction line list is simulated, not measured: it uses a DFT-relaxed cell (PBE, Alexandria) and Cu Kα (λ = 1.5418 Å).
Lines closer than 0.1° are merged.

Cell lengths 5.8681, 5.8681, 5.8681 Å; angles 90.00, 90.00, 90.00 degrees
Space group P2_13 (No. 198)
One atom of each set of equivalent atoms:
Ca 0.0771 0.0771 0.0771 (multiplicity 4)
Au 0.0803 0.5803 0.9197 (multiplicity 4)

Main lines, low angle first (5° ≤ 2θ ≤ 70°):
d/Å	two_theta	I_rel	hkl
4.149	21.41	38	1 1 0
3.388	26.31	41	1 1 1
2.934	30.47	32	2 0 0
2.624	34.17	100	2 0 1
2.396	37.54	37	2 1 1
1.956	46.42	24	2 2 1
1.856	49.09	20	3 1 0
1.628	56.55	13	3 0 2
1.568	58.89	43	3 2 1
1.423	65.59	22	4 0 1